Record 1
Theoretical PXRD pattern of Cs2Rb2Hg3 for copper Kα, from a structure optimized by DFT (GGA-PBE).
Peak positions follow from Bragg's law for the DFT cell and can differ from measured ones.

Atomic structure:
```
data_Cs2Rb2Hg3
_cell_length_a 20.3195
_cell_length_b 5.3977
_cell_length_c 7.2577
_cell_angle_alpha 90.00
_cell_angle_beta 101.50
_cell_angle_gamma 90.00
_symmetry_space_group_name_H-M 'C 1 2/m 1'
_symmetry_Int_Tables_number 12
loop_
_symmetry_equiv_pos_as_xyz
'x,y,z'
'-x,-y,-z'
'-x,y,-z'
'x,-y,z'
'x+1/2,y+1/2,z'
'-x+1/2,-y+1/2,-z'
'-x+1/2,y+1/2,-z'
'x+1/2,-y+1/2,z'
loop_
_atom_site_label
_atom_site_type_symbol
_atom_site_fract_x
_atom_site_fract_y
_atom_site_fract_z
Cs1 Cs 0.1499 0.0000 0.0675
Rb1 Rb 0.1013 0.5000 0.5462
Hg1 Hg 0.0000 0.5000 0.0000
Hg2 Hg 0.2337 0.0000 0.5991
```

Largest 12 diffraction maxima, most intense first, 2θ = 5–70°:
(hkl)	Position (°2θ)	I/Imax
5 1 -1	28.66	100
3 1 1	26.02	85
3 1 0	21.22	77
3 1 -2	30.87	65
2 0 -1	13.78	61
1 1 2	31.18	53
0 2 0	33.20	52
6 0 1	31.95	49
2 0 0	8.88	47
5 1 -3	43.70	46
0 0 2	25.04	41
2 0 1	16.70	37

---

Record 2
Theoretical PXRD pattern of CaPrCo4 for copper Kα, from a structure optimized by DFT (GGA-PBE).
Peak positions follow from Bragg's law for the DFT cell and can differ from measured ones.

Atomic structure:
```
data_CaPrCo4
_cell_length_a 7.3041
_cell_length_b 7.3041
_cell_length_c 7.3041
_cell_angle_alpha 90.00
_cell_angle_beta 90.00
_cell_angle_gamma 90.00
_symmetry_space_group_name_H-M 'F -4 3 m'
_symmetry_Int_Tables_number 216
_symmetry_space_group_name_Hall 'F -4 2 3'
loop_
_atom_site_label
_atom_site_type_symbol
_atom_site_fract_x
_atom_site_fract_y
_atom_site_fract_z
Ca1 Ca 0.0000 0.0000 0.0000
Pr1 Pr 0.2500 0.2500 0.2500
Co1 Co 0.1250 0.1250 0.6250
```

Largest 10 diffraction maxima, most intense first, 2θ = 5–70°:
(hkl)	Position (°2θ)	I/Imax
3 1 1	40.98	100
2 2 0	34.74	39
2 2 2	42.89	30
5 1 1	66.52	30
2 0 0	24.37	14
4 2 2	62.27	14
1 1 1	21.07	13
4 2 0	56.33	6
3 3 1	54.78	3
4 0 0	49.95	1

---

Record 3
Theoretical PXRD pattern of Pm3HoEr2S6 for copper Kα, from a structure optimized by DFT (GGA-PBE).
Peak positions follow from Bragg's law for the DFT cell and can differ from measured ones.

Atomic structure:
```
data_Pm3HoEr2S6
_cell_length_a 6.7893
_cell_length_b 11.8012
_cell_length_c 6.9217
_cell_angle_alpha 90.00
_cell_angle_beta 109.15
_cell_angle_gamma 90.00
_symmetry_space_group_name_H-M 'C 1 2/m 1'
_symmetry_Int_Tables_number 12
loop_
_symmetry_equiv_pos_as_xyz
'x,y,z'
'-x,-y,-z'
'-x,y,-z'
'x,-y,z'
'x+1/2,y+1/2,z'
'-x+1/2,-y+1/2,-z'
'-x+1/2,y+1/2,-z'
'x+1/2,-y+1/2,z'
loop_
_atom_site_label
_atom_site_type_symbol
_atom_site_fract_x
_atom_site_fract_y
_atom_site_fract_z
Pm1 Pm 0.0000 0.0000 0.0000
Pm2 Pm 0.0000 0.3339 0.0000
Ho1 Ho 0.0000 0.5000 0.5000
Er1 Er 0.0000 0.1666 0.5000
S1 S 0.2434 0.0000 0.7341
S2 S 0.2453 0.3327 0.7345
```

Largest 12 diffraction maxima, most intense first, 2θ = 5–70°:
(hkl)	Position (°2θ)	I/Imax
1 3 1	32.03	100
2 0 0	27.77	60
2 0 2	45.61	37
3 3 -1	46.28	24
0 0 2	27.28	21
0 6 2	54.49	13
2 6 -2	57.29	12
0 6 0	46.15	12
2 6 2	66.97	11
1 3 3	53.96	10
3 3 1	54.58	7
2 6 0	54.75	6